Theoretical powder XRD pattern of Na2SeO5 for a wavelength of 1.5418 Å, from a crystal structure in the Materials Project, relaxed with PBE.
Intensities are scaled so that the largest is 100.

Structure:
Cell: 6.1846 6.1846 7.9195 Å, 90.00 90.00 118.99°
Atoms (fractional coordinates):
Na: 0.0000 0.0000 0.0000
Na: 0.0000 0.0000 0.5000
Na: 0.3532 0.6468 0.7500
Na: 0.6468 0.3532 0.2500
Se: 0.2228 0.7772 0.2500
Se: 0.7772 0.2228 0.7500
O: 0.0330 0.4246 0.5553
O: 0.0330 0.4246 0.9447
O: 0.0658 0.9342 0.2500
O: 0.4246 0.0330 0.0553
O: 0.4246 0.0330 0.4447
O: 0.5754 0.9670 0.5553
O: 0.5754 0.9670 0.9447
O: 0.9342 0.0658 0.7500
O: 0.9670 0.5754 0.0553
O: 0.9670 0.5754 0.4447

Largest 12 diffraction maxima, low angle first, 10 to 80 degrees two-theta:
| 2θ/deg | I (rel.) |
| --- | --- |
| 16.39 | 31 |
| 16.64 | 82 |
| 19.88 | 100 |
| 20.08 | 64 |
| 28.43 | 13 |
| 31.05 | 27 |
| 36.53 | 46 |
| 37.93 | 13 |
| 40.38 | 57 |
| 45.83 | 13 |
| 46.43 | 17 |
| 48.17 | 16 |